# 1
Mn3NiN: computed X-ray diffraction stick pattern (CuKα), based on DFT lattice parameters and positions (PBE).
Kinematic intensities with the Lorentz-polarization factor, no thermal factor.

The 5 most intense peaks (5° ≤ 2θ ≤ 70°), in order of rising 2θ:
2θ = 33.00°, rel. 3, (1 1 0); 2θ = 40.71°, rel. 100, (1 1 1); 2θ = 47.37°, rel. 58, (2 0 0); 2θ = 58.94°, rel. 1, (2 1 1); 2θ = 69.23°, rel. 33, (2 2 0)

Structural model:
Unit cell a=3.8385 b=3.8385 c=3.8385 alpha=90.00 beta=90.00 gamma=90.00
Space group Pm-3m (No. 221)
Unique sites:
Mn 0.0000 0.0000 0.5000 (multiplicity 3)
Ni 0.5000 0.5000 0.5000 (multiplicity 1)
N 0.0000 0.0000 0.0000 (multiplicity 1)

***

# 2
La4MnCu6S10: computed X-ray diffraction stick pattern (CuKα), based on DFT lattice parameters and positions (PBE).
Kinematic intensities with the Lorentz-polarization factor, no thermal factor.

The 10 most intense peaks (5° ≤ 2θ ≤ 70°), in order of rising 2θ:
2θ = 24.10°, rel. 86, (1 1 2); 2θ = 26.16°, rel. 48, (1 -1 2); 2θ = 28.41°, rel. 69, (1 0 -2); 2θ = 30.31°, rel. 100, (2 -1 0); 2θ = 31.04°, rel. 97, (2 1 0); 2θ = 32.24°, rel. 41, (1 1 3); 2θ = 34.78°, rel. 97, (1 -1 3); 2θ = 38.16°, rel. 93, (0 2 3); 2θ = 39.47°, rel. 50, (1 -3 0); 2θ = 40.79°, rel. 45, (-1 3 1)

Structural model:
Unit cell a=6.6121 b=7.3059 c=8.8145 alpha=83.44 beta=74.32 gamma=89.88
Space group P-1 (No. 2)
Unique sites:
La 0.0602 0.4103 0.2469 (multiplicity 2)
La 0.2775 0.0740 0.8260 (multiplicity 2)
Mn 0.5000 0.5000 0.5000 (multiplicity 1)
Cu 0.2197 0.7985 0.3423 (multiplicity 2)
Cu 0.3353 0.0994 0.4261 (multiplicity 2)
Cu 0.4395 0.6607 0.9468 (multiplicity 2)
S 0.0871 0.7304 0.0008 (multiplicity 2)
S 0.1310 0.2986 0.5738 (multiplicity 2)
S 0.3159 0.8079 0.5816 (multiplicity 2)
S 0.3194 0.0927 0.1668 (multiplicity 2)
S 0.4707 0.5861 0.2181 (multiplicity 2)

***

# 3
As2S3: computed X-ray diffraction stick pattern (CuKα), based on DFT lattice parameters and positions (PBE).
Kinematic intensities with the Lorentz-polarization factor, no thermal factor.

The 10 most intense peaks (5° ≤ 2θ ≤ 70°), in order of rising 2θ:
2θ = 16.83°, rel. 100, (0 0 2); 2θ = 18.79°, rel. 22, (1 1 0); 2θ = 22.80°, rel. 25, (1 1 -1); 2θ = 23.45°, rel. 45, (0 2 2); 2θ = 23.57°, rel. 26, (1 -1 2); 2θ = 30.44°, rel. 37, (2 0 1); 2θ = 33.76°, rel. 37, (1 1 4); 2θ = 34.04°, rel. 23, (1 3 2); 2θ = 34.55°, rel. 22, (1 3 0); 2θ = 34.94°, rel. 22, (1 -3 1)

Structural model:
Unit cell a=5.8786 b=9.1179 c=11.0334 alpha=79.05 beta=76.79 gamma=89.98
Space group P-1 (No. 2)
Unique sites:
As 0.0687 0.1383 0.3262 (multiplicity 2)
As 0.1827 0.8285 0.1689 (multiplicity 2)
As 0.3752 0.6749 0.8274 (multiplicity 2)
As 0.3914 0.3605 0.6774 (multiplicity 2)
S 0.0586 0.2695 0.6362 (multiplicity 2)
S 0.1019 0.0768 0.1302 (multiplicity 2)
S 0.2461 0.3735 0.2551 (multiplicity 2)
S 0.2558 0.4272 0.8712 (multiplicity 2)
S 0.2986 0.7698 0.6326 (multiplicity 2)
S 0.4958 0.8748 0.2483 (multiplicity 2)

***

# 4
Te3SeO8: computed X-ray diffraction stick pattern (CuKα), based on DFT lattice parameters and positions (PBE).
Kinematic intensities with the Lorentz-polarization factor, no thermal factor.

The 10 most intense peaks (5° ≤ 2θ ≤ 70°), in order of rising 2θ:
2θ = 7.73°, rel. 33, (0 0 1); 2θ = 19.56°, rel. 34, (1 0 1); 2θ = 26.23°, rel. 100, (1 0 -2); 2θ = 26.66°, rel. 98, (1 1 3); 2θ = 27.93°, rel. 66, (1 -1 1); 2θ = 27.99°, rel. 87, (1 2 0); 2θ = 28.17°, rel. 40, (-1 1 1); 2θ = 28.99°, rel. 70, (0 1 -3); 2θ = 29.45°, rel. 40, (0 2 2); 2θ = 39.67°, rel. 32, (0 1 5)

Structural model:
Unit cell a=5.0260 b=7.0149 c=11.8109 alpha=77.62 beta=78.61 gamma=69.40
Space group P-1 (No. 2)
Unique sites:
Te 0.0119 0.2546 0.4285 (multiplicity 2)
Te 0.3580 0.1379 0.6964 (multiplicity 2)
Te 0.3894 0.5351 0.1941 (multiplicity 2)
Se 0.1521 0.1747 0.0954 (multiplicity 2)
O 0.0080 0.2979 0.8029 (multiplicity 2)
O 0.0888 0.7751 0.7805 (multiplicity 2)
O 0.1468 0.3078 0.5572 (multiplicity 2)
O 0.2456 0.9690 0.4350 (multiplicity 2)
O 0.3216 0.3616 0.0723 (multiplicity 2)
O 0.3414 0.3164 0.3208 (multiplicity 2)
O 0.4225 0.9485 0.1436 (multiplicity 2)
O 0.4932 0.6367 0.3282 (multiplicity 2)

***

# 5
Na3AlAs2O8: computed X-ray diffraction stick pattern (CuKα), based on DFT lattice parameters and positions (PBE).
Kinematic intensities with the Lorentz-polarization factor, no thermal factor.

The 10 most intense peaks (5° ≤ 2θ ≤ 70°), in order of rising 2θ:
2θ = 17.01°, rel. 96, (1 1 -1); 2θ = 19.89°, rel. 36, (1 2 0); 2θ = 20.02°, rel. 48, (0 1 2); 2θ = 22.63°, rel. 68, (1 2 1); 2θ = 27.08°, rel. 35, (1 3 -1); 2θ = 27.76°, rel. 54, (2 1 0); 2θ = 28.39°, rel. 35, (1 2 2); 2θ = 31.20°, rel. 100, (0 4 1); 2θ = 31.83°, rel. 48, (0 2 3); 2θ = 33.37°, rel. 78, (1 1 3)

Structural model:
Unit cell a=6.7137 b=12.0134 c=9.6048 alpha=90.00 beta=96.54 gamma=90.00
Space group P2_1/c (No. 14)
Unique sites:
Na 0.0972 0.0813 0.2862 (multiplicity 4)
Na 0.2324 0.6533 0.6308 (multiplicity 4)
Na 0.3760 0.6048 0.9770 (multiplicity 4)
Al 0.2807 0.1464 0.9385 (multiplicity 4)
As 0.1362 0.1739 0.6222 (multiplicity 4)
As 0.3956 0.5839 0.3221 (multiplicity 4)
O 0.0791 0.6177 0.8354 (multiplicity 4)
O 0.0871 0.1970 0.0352 (multiplicity 4)
O 0.2312 0.0035 0.9021 (multiplicity 4)
O 0.2528 0.6557 0.1969 (multiplicity 4)
O 0.2719 0.0965 0.5204 (multiplicity 4)
O 0.2759 0.2192 0.7773 (multiplicity 4)
O 0.4088 0.0107 0.2269 (multiplicity 4)
O 0.4793 0.6718 0.4655 (multiplicity 4)

***

# 6
NdVSb3: computed X-ray diffraction stick pattern (CuKα), based on DFT lattice parameters and positions (PBE).
Kinematic intensities with the Lorentz-polarization factor, no thermal factor.

The 10 most intense peaks (5° ≤ 2θ ≤ 70°), in order of rising 2θ:
2θ = 17.72°, rel. 36, (0 0 2); 2θ = 24.55°, rel. 27, (1 1 2); 2θ = 30.28°, rel. 16, (3 0 0); 2θ = 32.69°, rel. 100, (0 2 2); 2θ = 34.52°, rel. 72, (3 1 1); 2θ = 35.89°, rel. 42, (0 0 4); 2θ = 43.20°, rel. 39, (3 1 3); 2θ = 45.16°, rel. 18, (3 2 2); 2θ = 52.99°, rel. 16, (3 3 1); 2θ = 57.38°, rel. 17, (3 1 5)

Structural model:
Unit cell a=8.8526 b=6.5464 c=10.0078 alpha=90.00 beta=90.00 gamma=90.00
Space group Pbcm (No. 57)
Unique sites:
Nd 0.2327 0.0155 0.2500 (multiplicity 4)
V 0.4698 0.2500 0.0000 (multiplicity 4)
Sb 0.1162 0.5017 0.2500 (multiplicity 4)
Sb 0.2164 0.7500 0.0000 (multiplicity 4)
Sb 0.4307 0.0449 0.7500 (multiplicity 4)

***

# 7
Th2In: computed X-ray diffraction stick pattern (CuKα), based on DFT lattice parameters and positions (PBE).
Kinematic intensities with the Lorentz-polarization factor, no thermal factor.

The 10 most intense peaks (5° ≤ 2θ ≤ 70°), in order of rising 2θ:
2θ = 29.49°, rel. 100, (2 1 1); 2θ = 29.66°, rel. 11, (0 0 2); 2θ = 33.87°, rel. 21, (1 1 2); 2θ = 36.25°, rel. 33, (3 1 0); 2θ = 37.67°, rel. 16, (2 0 2); 2θ = 50.35°, rel. 11, (4 1 1); 2θ = 52.52°, rel. 21, (2 1 3); 2θ = 56.00°, rel. 15, (4 0 2); 2θ = 58.63°, rel. 18, (3 3 2); 2θ = 66.06°, rel. 16, (5 2 1)

Structural model:
Unit cell a=7.8356 b=7.8356 c=6.0242 alpha=90.00 beta=90.00 gamma=90.00
Space group I4/mcm (No. 140)
Unique sites:
Th 0.1527 0.3473 0.0000 (multiplicity 8)
In 0.0000 0.0000 0.2500 (multiplicity 4)